V5Cr2Tc: theoretical powder diffraction line list (Cu Kα), based on the GGA-PBE geometry in Alexandria.

Peak list (10 most intense, 2θ = 10–90°, in order of rising 2θ)
d = 2.228 Å, rel. 17, hkl 2 2 0
d = 2.158 Å, rel. 25, hkl 2 0 1
d = 2.142 Å, rel. 51, hkl 0 0 2
d = 2.135 Å, rel. 100, hkl 0 4 1
d = 2.108 Å, rel. 45, hkl 2 1 1
d = 1.988 Å, rel. 20, hkl 2 3 0
d = 1.977 Å, rel. 25, hkl 2 2 1
d = 1.457 Å, rel. 13, hkl 2 3 2
d = 1.235 Å, rel. 15, hkl 0 4 3
d = 1.231 Å, rel. 14, hkl 0 8 0

Atomic structure:
```
data_V5Cr2Tc
_cell_length_a 4.996
_cell_length_b 9.850
_cell_length_c 4.284
_cell_angle_alpha 90.00
_cell_angle_beta 90.00
_cell_angle_gamma 90.00
_space_group_name_H-M_alt 'P b a m'
_space_group_IT_number 55
loop_
_space_group_symop_operation_xyz
'x,y,z'
'-x,-y,-z'
'-x,-y,z'
'x,y,-z'
'x+1/2,-y+1/2,-z'
'-x+1/2,y+1/2,z'
'-x+1/2,y+1/2,-z'
'x+1/2,-y+1/2,z'
loop_
_atom_site_label
_atom_site_type_symbol
_atom_site_fract_x
_atom_site_fract_y
_atom_site_fract_z
V1 V 0.000 0.000 0.000
V2 V 0.147 0.254 0.000
V3 V 0.169 0.621 0.500
Cr1 Cr 0.161 0.877 0.500
Tc1 Tc 0.000 0.500 0.000
```

V3Cr2Tc: theoretical powder diffraction line list (Cu Kα), based on the GGA-PBE geometry in Alexandria.

Peak list (10 most intense, 2θ = 10–90°, in order of rising 2θ)
d = 4.428 Å, rel. 2, hkl 0 0 2
d = 2.954 Å, rel. 4, hkl 0 0 3
d = 2.804 Å, rel. 3, hkl 1 0 1
d = 2.458 Å, rel. 3, hkl 1 0 2
d = 2.089 Å, rel. 100, hkl 1 1 0
d = 1.706 Å, rel. 1, hkl 1 1 3
d = 1.520 Å, rel. 1, hkl 1 1 4
d = 1.477 Å, rel. 15, hkl 2 0 0
d = 1.321 Å, rel. 1, hkl 1 0 6
d = 1.206 Å, rel. 29, hkl 2 1 3

Atomic structure:
```
data_V3Cr2Tc
_cell_length_a 2.956
_cell_length_b 2.956
_cell_length_c 8.856
_cell_angle_alpha 90.00
_cell_angle_beta 90.00
_cell_angle_gamma 90.00
_space_group_name_H-M_alt 'P 4/m m m'
_space_group_IT_number 123
_space_group_name_Hall '-P 4 2'
loop_
_atom_site_label
_atom_site_type_symbol
_atom_site_fract_x
_atom_site_fract_y
_atom_site_fract_z
V1 V 0.000 0.000 0.000
V2 V 0.000 0.000 0.327
Cr1 Cr 0.500 0.500 0.164
Tc1 Tc 0.500 0.500 0.500
```

V6Cr5Tc: theoretical powder diffraction line list (Cu Kα), based on the GGA-PBE geometry in Alexandria.

Peak list (10 most intense, 2θ = 10–90°, in order of rising 2θ)
d = 5.312 Å, rel. 2, hkl 1 1 0
d = 2.935 Å, rel. 2, hkl 0 2 0
d = 2.081 Å, rel. 25, hkl 6 0 0
d = 2.076 Å, rel. 100, hkl 2 2 1
d = 2.070 Å, rel. 25, hkl 2 0 -2
d = 1.468 Å, rel. 22, hkl 4 0 2
d = 1.200 Å, rel. 14, hkl 8 2 1
d = 1.199 Å, rel. 7, hkl 6 4 0
d = 1.197 Å, rel. 14, hkl 0 2 3
d = 1.196 Å, rel. 7, hkl 6 2 -3

Atomic structure:
```
data_V6Cr5Tc
_cell_length_a 13.149
_cell_length_b 5.871
_cell_length_c 4.141
_cell_angle_alpha 90.00
_cell_angle_beta 108.29
_cell_angle_gamma 90.00
_space_group_name_H-M_alt 'C 1 2/m 1'
_space_group_IT_number 12
loop_
_space_group_symop_operation_xyz
'x,y,z'
'-x,-y,-z'
'-x,y,-z'
'x,-y,z'
'x+1/2,y+1/2,z'
'-x+1/2,-y+1/2,-z'
'-x+1/2,y+1/2,-z'
'x+1/2,-y+1/2,z'
loop_
_atom_site_label
_atom_site_type_symbol
_atom_site_fract_x
_atom_site_fract_y
_atom_site_fract_z
V1 V 0.000 0.245 0.000
V2 V 0.168 0.248 0.668
Cr1 Cr 0.000 0.000 0.500
Cr2 Cr 0.167 0.000 0.167
Cr3 Cr 0.168 0.500 0.169
Tc1 Tc 0.000 0.500 0.500
```

CrTcW4: theoretical powder diffraction line list (Cu Kα), based on the GGA-PBE geometry in Alexandria.

Peak list (10 most intense, 2θ = 10–90°, in order of rising 2θ)
d = 4.258 Å, rel. 52, hkl 1 1 1
d = 2.224 Å, rel. 100, hkl 3 1 1
d = 2.129 Å, rel. 70, hkl 2 2 2
d = 1.844 Å, rel. 21, hkl 4 0 0
d = 1.692 Å, rel. 13, hkl 3 3 1
d = 1.419 Å, rel. 32, hkl 5 1 1
d = 1.304 Å, rel. 31, hkl 4 4 0
d = 1.247 Å, rel. 10, hkl 5 3 1
d = 1.125 Å, rel. 12, hkl 5 3 3
d = 1.112 Å, rel. 28, hkl 6 2 2

Atomic structure:
```
data_CrTcW4
_cell_length_a 7.375
_cell_length_b 7.375
_cell_length_c 7.375
_cell_angle_alpha 90.00
_cell_angle_beta 90.00
_cell_angle_gamma 90.00
_space_group_name_H-M_alt 'F -4 3 m'
_space_group_IT_number 216
_space_group_name_Hall 'F -4 2 3'
loop_
_atom_site_label
_atom_site_type_symbol
_atom_site_fract_x
_atom_site_fract_y
_atom_site_fract_z
Cr1 Cr 0.000 0.000 0.000
Tc1 Tc 0.250 0.250 0.750
W1 W 0.125 0.125 0.375
```

Cr4Te: theoretical powder diffraction line list (Cu Kα), based on the GGA-PBE geometry in Alexandria.

Peak list (10 most intense, 2θ = 10–90°, in order of rising 2θ)
d = 4.401 Å, rel. 86, hkl 1 1 0
d = 3.112 Å, rel. 11, hkl 2 0 0
d = 2.541 Å, rel. 41, hkl 2 1 1
d = 2.200 Å, rel. 100, hkl 2 2 0
d = 1.968 Å, rel. 19, hkl 3 1 0
d = 1.663 Å, rel. 23, hkl 3 2 1
d = 1.556 Å, rel. 15, hkl 4 0 0
d = 1.467 Å, rel. 11, hkl 4 1 1
d = 1.270 Å, rel. 30, hkl 4 2 2
d = 1.220 Å, rel. 12, hkl 5 1 0

Atomic structure:
```
data_Cr4Te
_cell_length_a 6.223
_cell_length_b 6.223
_cell_length_c 6.223
_cell_angle_alpha 90.00
_cell_angle_beta 90.00
_cell_angle_gamma 90.00
_space_group_name_H-M_alt 'I m -3 m'
_space_group_IT_number 229
_space_group_name_Hall '-I 4 2 3'
loop_
_atom_site_label
_atom_site_type_symbol
_atom_site_fract_x
_atom_site_fract_y
_atom_site_fract_z
Cr1 Cr 0.250 0.250 0.250
Te1 Te 0.000 0.000 0.000
```

CrTe5: theoretical powder diffraction line list (Cu Kα), based on the GGA-PBE geometry in Alexandria.

Peak list (10 most intense, 2θ = 10–90°, in order of rising 2θ)
d = 3.085 Å, rel. 100, hkl 1 1 -1
d = 3.031 Å, rel. 8, hkl 1 1 1
d = 2.732 Å, rel. 9, hkl 0 1 2
d = 2.371 Å, rel. 9, hkl 2 0 -2
d = 2.311 Å, rel. 15, hkl 1 0 -3
d = 2.266 Å, rel. 19, hkl 2 1 1
d = 2.106 Å, rel. 20, hkl 0 1 3
d = 2.030 Å, rel. 12, hkl 0 2 0
d = 1.724 Å, rel. 10, hkl 3 1 1
d = 1.696 Å, rel. 13, hkl 1 2 2

Atomic structure:
```
data_CrTe5
_cell_length_a 5.981
_cell_length_b 4.060
_cell_length_c 7.395
_cell_angle_alpha 90.00
_cell_angle_beta 92.34
_cell_angle_gamma 90.00
_space_group_name_H-M_alt 'P 1 2/m 1'
_space_group_IT_number 10
loop_
_space_group_symop_operation_xyz
'x,y,z'
'-x,-y,-z'
'-x,y,-z'
'x,-y,z'
loop_
_atom_site_label
_atom_site_type_symbol
_atom_site_fract_x
_atom_site_fract_y
_atom_site_fract_z
Cr1 Cr 0.000 0.000 0.000
Te1 Te 0.000 0.500 0.500
Te2 Te 0.258 0.500 0.869
Te3 Te 0.274 0.000 0.299
```

CrTe4: theoretical powder diffraction line list (Cu Kα), based on the GGA-PBE geometry in Alexandria.

Peak list (10 most intense, 2θ = 10–90°, in order of rising 2θ)
d = 4.729 Å, rel. 6, hkl 1 1 0
d = 3.344 Å, rel. 83, hkl 2 0 0
d = 2.730 Å, rel. 3, hkl 2 1 1
d = 2.364 Å, rel. 100, hkl 2 2 0
d = 1.930 Å, rel. 24, hkl 2 2 2
d = 1.672 Å, rel. 17, hkl 4 0 0
d = 1.495 Å, rel. 31, hkl 4 2 0
d = 1.365 Å, rel. 34, hkl 4 2 2
d = 1.182 Å, rel. 11, hkl 4 4 0
d = 1.115 Å, rel. 15, hkl 6 0 0

Atomic structure:
```
data_CrTe4
_cell_length_a 6.687
_cell_length_b 6.687
_cell_length_c 6.687
_cell_angle_alpha 90.00
_cell_angle_beta 90.00
_cell_angle_gamma 90.00
_space_group_name_H-M_alt 'I m -3 m'
_space_group_IT_number 229
_space_group_name_Hall '-I 4 2 3'
loop_
_atom_site_label
_atom_site_type_symbol
_atom_site_fract_x
_atom_site_fract_y
_atom_site_fract_z
Cr1 Cr 0.000 0.000 0.000
Te1 Te 0.250 0.250 0.250
```

Cr5Te8: theoretical powder diffraction line list (Cu Kα), based on the GGA-PBE geometry in Alexandria.

Peak list (10 most intense, 2θ = 10–90°, in order of rising 2θ)
d = 3.077 Å, rel. 12, hkl 0 0 2
d = 2.983 Å, rel. 100, hkl 0 2 1
d = 2.285 Å, rel. 36, hkl 0 2 2
d = 1.969 Å, rel. 31, hkl 2 2 0
d = 1.758 Å, rel. 21, hkl 2 0 3
d = 1.659 Å, rel. 12, hkl 2 2 2
d = 1.644 Å, rel. 17, hkl 4 0 1
d = 1.262 Å, rel. 14, hkl 2 4 1
d = 1.212 Å, rel. 12, hkl 2 2 4
d = 1.092 Å, rel. 9, hkl 4 2 3

Atomic structure:
```
data_Cr5Te8
_cell_length_a 7.8773
_cell_length_b 7.8773
_cell_length_c 6.1536
_cell_angle_alpha 90.00
_cell_angle_beta 90.00
_cell_angle_gamma 120.00
_space_group_name_H-M_alt 'P -3 m 1'
_space_group_IT_number 164
_space_group_name_Hall '-P 3 2"'
loop_
_atom_site_label
_atom_site_type_symbol
_atom_site_fract_x
_atom_site_fract_y
_atom_site_fract_z
Cr1 Cr 0.0000 0.0000 0.0000
Cr2 Cr 0.0000 0.0000 0.5000
Cr3 Cr 0.0000 0.5000 0.0000
Te1 Te 0.1676 0.3353 0.2486
Te2 Te 0.3333 0.6667 0.7589
```

Cr5Te6: theoretical powder diffraction line list (Cu Kα), based on the GGA-PBE geometry in Alexandria.

Peak list (10 most intense, 2θ = 10–90°, in order of rising 2θ)
d = 3.125 Å, rel. 25, hkl 2 0 2
d = 3.075 Å, rel. 91, hkl 1 2 2
d = 3.063 Å, rel. 89, hkl 2 0 -1
d = 3.053 Å, rel. 90, hkl 0 2 -2
d = 2.348 Å, rel. 19, hkl 3 2 1
d = 2.341 Å, rel. 45, hkl 2 2 3
d = 2.329 Å, rel. 38, hkl 2 -2 1
d = 2.325 Å, rel. 21, hkl 1 -2 3
d = 2.029 Å, rel. 100, hkl -1 2 3
d = 1.298 Å, rel. 20, hkl 1 6 -2

Atomic structure:
```
data_Cr5Te6
_cell_length_a 7.479
_cell_length_b 8.121
_cell_length_c 9.391
_cell_angle_alpha 89.72
_cell_angle_beta 78.17
_cell_angle_gamma 73.70
_space_group_name_H-M_alt 'P -1'
_space_group_IT_number 2
loop_
_space_group_symop_operation_xyz
'x,y,z'
'-x,-y,-z'
loop_
_atom_site_label
_atom_site_type_symbol
_atom_site_fract_x
_atom_site_fract_y
_atom_site_fract_z
Cr1 Cr 0.000 0.000 0.000
Cr2 Cr 0.000 0.500 0.000
Cr3 Cr 0.019 0.252 0.499
Cr4 Cr 0.322 0.403 0.177
Cr5 Cr 0.337 0.669 0.661
Cr6 Cr 0.342 0.926 0.175
Te1 Te 0.046 0.985 0.691
Te2 Te 0.063 0.487 0.693
Te3 Te 0.278 0.178 0.973
Te4 Te 0.284 0.680 0.975
Te5 Te 0.376 0.651 0.359
Te6 Te 0.396 0.148 0.368
```

Cr5Te3: theoretical powder diffraction line list (Cu Kα), based on the GGA-PBE geometry in Alexandria.

Peak list (10 most intense, 2θ = 10–90°, in order of rising 2θ)
d = 3.633 Å, rel. 12, hkl 2 0 0
d = 3.457 Å, rel. 10, hkl 1 1 1
d = 2.619 Å, rel. 17, hkl 1 3 0
d = 2.339 Å, rel. 100, hkl 2 2 1
d = 2.222 Å, rel. 26, hkl 0 0 2
d = 2.106 Å, rel. 13, hkl 0 4 0
d = 2.062 Å, rel. 10, hkl 3 1 1
d = 1.817 Å, rel. 11, hkl 4 0 0
d = 1.694 Å, rel. 9, hkl 1 3 2
d = 1.304 Å, rel. 14, hkl 2 2 3

Atomic structure:
```
data_Cr5Te3
_cell_length_a 7.266
_cell_length_b 8.424
_cell_length_c 4.444
_cell_angle_alpha 90.00
_cell_angle_beta 90.00
_cell_angle_gamma 90.00
_space_group_name_H-M_alt 'C m m m'
_space_group_IT_number 65
_space_group_name_Hall '-C 2 2'
loop_
_atom_site_label
_atom_site_type_symbol
_atom_site_fract_x
_atom_site_fract_y
_atom_site_fract_z
Cr1 Cr 0.000 0.000 0.000
Cr2 Cr 0.205 0.500 0.500
Cr3 Cr 0.250 0.250 0.000
Te1 Te 0.000 0.204 0.500
Te2 Te 0.000 0.500 0.000
```

Cr3Te: theoretical powder diffraction line list (Cu Kα), based on the GGA-PBE geometry in Alexandria.

Peak list (10 most intense, 2θ = 10–90°, in order of rising 2θ)
d = 4.216 Å, rel. 9, hkl 0 0 2
d = 3.655 Å, rel. 12, hkl 0 1 1
d = 2.161 Å, rel. 100, hkl 1 1 2
d = 2.108 Å, rel. 23, hkl 0 0 4
d = 2.028 Å, rel. 20, hkl 0 2 0
d = 1.604 Å, rel. 9, hkl 2 0 0
d = 1.462 Å, rel. 13, hkl 0 2 4
d = 1.277 Å, rel. 8, hkl 2 0 4
d = 1.227 Å, rel. 14, hkl 1 1 6
d = 1.195 Å, rel. 13, hkl 1 3 2

Atomic structure:
```
data_Cr3Te
_cell_length_a 3.209
_cell_length_b 4.057
_cell_length_c 8.431
_cell_angle_alpha 90.00
_cell_angle_beta 90.00
_cell_angle_gamma 90.00
_space_group_name_H-M_alt 'I m m m'
_space_group_IT_number 71
_space_group_name_Hall '-I 2 2'
loop_
_atom_site_label
_atom_site_type_symbol
_atom_site_fract_x
_atom_site_fract_y
_atom_site_fract_z
Cr1 Cr 0.000 0.000 0.000
Cr2 Cr 0.000 0.500 0.253
Te1 Te 0.000 0.000 0.500
```

Cr5Te: theoretical powder diffraction line list (Cu Kα), based on the GGA-PBE geometry in Alexandria.

Peak list (10 most intense, 2θ = 10–90°, in order of rising 2θ)
d = 2.978 Å, rel. 5, hkl 1 0 0
d = 2.832 Å, rel. 11, hkl 1 0 1
d = 2.498 Å, rel. 16, hkl 1 0 2
d = 2.134 Å, rel. 100, hkl 1 0 3
d = 2.106 Å, rel. 53, hkl 1 1 0
d = 1.529 Å, rel. 6, hkl 0 0 6
d = 1.489 Å, rel. 16, hkl 2 0 0
d = 1.383 Å, rel. 5, hkl 1 1 5
d = 1.237 Å, rel. 11, hkl 1 1 6
d = 1.221 Å, rel. 28, hkl 2 1 3

Atomic structure:
```
data_Cr5Te
_cell_length_a 2.978
_cell_length_b 2.978
_cell_length_c 9.176
_cell_angle_alpha 90.00
_cell_angle_beta 90.00
_cell_angle_gamma 90.00
_space_group_name_H-M_alt 'P 4/m m m'
_space_group_IT_number 123
_space_group_name_Hall '-P 4 2'
loop_
_atom_site_label
_atom_site_type_symbol
_atom_site_fract_x
_atom_site_fract_y
_atom_site_fract_z
Cr1 Cr 0.000 0.000 0.000
Cr2 Cr 0.000 0.000 0.303
Cr3 Cr 0.500 0.500 0.154
Te1 Te 0.500 0.500 0.500
```

What did the fourth record say?
CrTcW4: theoretical powder diffraction line list (Cu Kα), based on the GGA-PBE geometry in Alexandria.

Peak list (10 most intense, 2θ = 10–90°, in order of rising 2θ)
d = 4.258 Å, rel. 52, hkl 1 1 1
d = 2.224 Å, rel. 100, hkl 3 1 1
d = 2.129 Å, rel. 70, hkl 2 2 2
d = 1.844 Å, rel. 21, hkl 4 0 0
d = 1.692 Å, rel. 13, hkl 3 3 1
d = 1.419 Å, rel. 32, hkl 5 1 1
d = 1.304 Å, rel. 31, hkl 4 4 0
d = 1.247 Å, rel. 10, hkl 5 3 1
d = 1.125 Å, rel. 12, hkl 5 3 3
d = 1.112 Å, rel. 28, hkl 6 2 2

Atomic structure:
```
data_CrTcW4
_cell_length_a 7.375
_cell_length_b 7.375
_cell_length_c 7.375
_cell_angle_alpha 90.00
_cell_angle_beta 90.00
_cell_angle_gamma 90.00
_space_group_name_H-M_alt 'F -4 3 m'
_space_group_IT_number 216
_space_group_name_Hall 'F -4 2 3'
loop_
_atom_site_label
_atom_site_type_symbol
_atom_site_fract_x
_atom_site_fract_y
_atom_site_fract_z
Cr1 Cr 0.000 0.000 0.000
Tc1 Tc 0.250 0.250 0.750
W1 W 0.125 0.125 0.375
```